Computed powder diffractogram of Li2MgCd5Ag for Cu Kα, 1.54184 Å, from a PBE-relaxed structure.

Largest 12 diffraction maxima, sorted by position, 2θ from 10° to 80°:
4.080 Å, I = 39, (1 1 2); 4.035 Å, I = 9, (2 0 0); 3.448 Å, I = 30, (2 1 1); 2.853 Å, I = 71, (2 2 0); 2.646 Å, I = 22, (2 1 3); 2.365 Å, I = 100, (2 0 4); 2.338 Å, I = 18, (3 1 2); 2.018 Å, I = 15, (4 0 0); 1.930 Å, I = 19, (4 1 1); 1.749 Å, I = 16, (4 1 3); 1.535 Å, I = 22, (4 2 4); 1.299 Å, I = 11, (2 2 8)

Atomic structure:
Lattice parameters (Å, degrees): 8.070 8.070 11.673 90.00 90.00 90.00
Space group I4/mcm (No. 140)
Inequivalent atoms, fractional coordinates:
Li1 0.104 0.396 0.000 (multiplicity 8)
Mg1 0.000 0.000 0.250 (multiplicity 4)
Cd1 0.000 0.000 0.000 (multiplicity 4)
Cd2 0.207 0.293 0.370 (multiplicity 16)
Ag1 0.000 0.500 0.250 (multiplicity 4)